1.
Theoretical powder diffractogram of ErTlZn for Cu Ka, from a cell relaxed with GGA-PBE.

Structure:
```
data_ErTlZn
_chemical_formula_sum 'Er2 Tl2 Zn2'
_space_group_name_H-M_alt 'P 63/m m c'
_space_group_IT_number 194
_space_group_name_Hall '-P 6c 2c'
_cell_length_a 4.7076
_cell_length_b 4.7076
_cell_length_c 7.1639
_cell_angle_alpha 90.00
_cell_angle_beta 90.00
_cell_angle_gamma 120.00
loop_
_atom_site_label
_atom_site_type_symbol
_atom_site_fract_x
_atom_site_fract_y
_atom_site_fract_z
Er1 Er 0.0000 0.0000 0.0000
Tl1 Tl 0.3333 0.6667 0.2500
Zn1 Zn 0.3333 0.6667 0.7500
```

Most intense lines, 5° ≤ 2θ ≤ 70°, sorted by position:
| h k l | two_theta | d_spacing | intensity |
| --- | --- | --- | --- |
| 1 0 1 | 25.1 | 3.543 | 27 |
| 1 0 2 | 33.3 | 2.691 | 100 |
| 1 1 0 | 38.2 | 2.354 | 72 |
| 2 0 2 | 51.6 | 1.772 | 29 |
| 1 1 4 | 65.5 | 1.425 | 30 |
| 2 1 2 | 66.0 | 1.416 | 28 |

=====

2.
Theoretical powder diffractogram of TmSnPt for Cu Ka, from a cell relaxed with GGA-PBE.

Structure:
```
data_TmSnPt
_chemical_formula_sum 'Tm3 Sn3 Pt3'
_space_group_name_H-M_alt 'P -6 2 m'
_space_group_IT_number 189
_space_group_name_Hall 'P -6 -2'
_cell_length_a 7.4958
_cell_length_b 7.4958
_cell_length_c 3.9625
_cell_angle_alpha 90.00
_cell_angle_beta 90.00
_cell_angle_gamma 120.00
loop_
_atom_site_label
_atom_site_type_symbol
_atom_site_fract_x
_atom_site_fract_y
_atom_site_fract_z
Tm1 Tm 0.0000 0.4047 0.0000
Sn1 Sn 0.0000 0.7401 0.5000
Pt1 Pt 0.0000 0.0000 0.0000
Pt2 Pt 0.3333 0.6667 0.5000
```

Most intense lines, 5° ≤ 2θ ≤ 70°, sorted by position:
| h k l | two_theta | d_spacing | intensity |
| --- | --- | --- | --- |
| 1 1 1 | 32.9 | 2.723 | 87 |
| 2 0 1 | 35.8 | 2.511 | 100 |
| 2 1 0 | 36.6 | 2.454 | 34 |
| 3 0 0 | 41.7 | 2.164 | 50 |
| 2 1 1 | 43.4 | 2.086 | 38 |
| 3 2 1 | 67.1 | 1.394 | 36 |

=====

3.
Theoretical powder diffractogram of KSe for Cu Ka, from a cell relaxed with GGA-PBE.

Structure:
```
data_KSe
_chemical_formula_sum 'K16 Se16'
_space_group_name_H-M_alt 'P b c a'
_space_group_IT_number 61
_cell_length_a 6.075
_cell_length_b 9.449
_cell_length_c 18.064
_cell_angle_alpha 90.00
_cell_angle_beta 90.00
_cell_angle_gamma 90.00
loop_
_space_group_symop_operation_xyz
'x,y,z'
'-x,-y,-z'
'-x+1/2,-y,z+1/2'
'x+1/2,y,-z+1/2'
'x+1/2,-y+1/2,-z'
'-x+1/2,y+1/2,z'
'-x,y+1/2,-z+1/2'
'x,-y+1/2,z+1/2'
loop_
_atom_site_label
_atom_site_type_symbol
_atom_site_fract_x
_atom_site_fract_y
_atom_site_fract_z
K1 K 0.186 0.185 0.128
K2 K 0.186 0.186 0.874
Se1 Se 0.001 0.503 0.765
Se2 Se 0.176 0.562 0.500
```

Most intense lines, 5° ≤ 2θ ≤ 70°, sorted by position:
| h k l | two_theta | d_spacing | intensity |
| --- | --- | --- | --- |
| 0 2 4 | 27.3 | 3.265 | 100 |
| 1 2 3 | 28.1 | 3.170 | 43 |
| 2 0 2 | 31.1 | 2.879 | 31 |
| 2 2 2 | 36.6 | 2.458 | 33 |
| 0 0 8 | 39.9 | 2.258 | 23 |
| 1 4 1 | 41.3 | 2.186 | 33 |

=====

4.
Theoretical powder diffractogram of Tb2Se3O20 for Cu Ka, from a cell relaxed with GGA-PBE.

Structure:
```
data_Tb2Se3O20
_chemical_formula_sum 'Tb8 Se12 O80'
_space_group_name_H-M_alt 'C 1 2/c 1'
_space_group_IT_number 15
_cell_length_a 12.560
_cell_length_b 7.006
_cell_length_c 19.749
_cell_angle_alpha 90.00
_cell_angle_beta 99.85
_cell_angle_gamma 90.00
loop_
_space_group_symop_operation_xyz
'x,y,z'
'-x,-y,-z'
'-x,y,-z+1/2'
'x,-y,z+1/2'
'x+1/2,y+1/2,z'
'-x+1/2,-y+1/2,-z'
'-x+1/2,y+1/2,-z+1/2'
'x+1/2,-y+1/2,z+1/2'
loop_
_atom_site_label
_atom_site_type_symbol
_atom_site_fract_x
_atom_site_fract_y
_atom_site_fract_z
Tb1 Tb 0.161 0.018 0.393
Se1 Se 0.000 0.287 0.250
Se2 Se 0.205 0.028 0.084
O1 O 0.001 0.188 0.862
O2 O 0.012 0.219 0.419
O3 O 0.033 0.430 0.186
O4 O 0.103 0.149 0.286
O5 O 0.114 0.036 0.138
O6 O 0.145 0.067 0.003
O7 O 0.151 0.471 0.573
O8 O 0.193 0.464 0.180
O9 O 0.202 0.308 0.887
O10 O 0.235 0.316 0.412
```

Most intense lines, 5° ≤ 2θ ≤ 70°, sorted by position:
| h k l | two_theta | d_spacing | intensity |
| --- | --- | --- | --- |
| 1 1 0 | 14.5 | 6.097 | 58 |
| 2 0 -2 | 15.6 | 5.680 | 100 |
| 1 1 2 | 17.8 | 4.981 | 46 |
| 0 0 4 | 18.2 | 4.864 | 62 |
| 3 1 0 | 25.1 | 3.552 | 90 |
| 0 2 0 | 25.4 | 3.506 | 52 |

=====

5.
Theoretical powder diffractogram of RbMg14Mo for Cu Ka, from a cell relaxed with GGA-PBE.

Structure:
```
data_RbMg14Mo
_chemical_formula_sum 'Rb2 Mg28 Mo2'
_space_group_name_H-M_alt 'A m m 2'
_space_group_IT_number 38
_cell_length_a 10.368
_cell_length_b 6.593
_cell_length_c 11.136
_cell_angle_alpha 90.00
_cell_angle_beta 90.00
_cell_angle_gamma 90.00
loop_
_space_group_symop_operation_xyz
'x,y,z'
'-x,-y,z'
'-x,y,z'
'x,-y,z'
'x,y+1/2,z+1/2'
'-x,-y+1/2,z+1/2'
'-x,y+1/2,z+1/2'
'x,-y+1/2,z+1/2'
loop_
_atom_site_label
_atom_site_type_symbol
_atom_site_fract_x
_atom_site_fract_y
_atom_site_fract_z
Rb1 Rb 0.000 0.000 0.000
Mg1 Mg 0.000 0.247 0.249
Mg2 Mg 0.236 0.000 0.656
Mg3 Mg 0.254 0.233 0.413
Mg4 Mg 0.268 0.000 0.169
Mg5 Mg 0.500 0.000 0.496
Mg6 Mg 0.500 0.000 0.993
Mg7 Mg 0.500 0.244 0.746
Mo1 Mo 0.000 0.000 0.483
```

Most intense lines, 5° ≤ 2θ ≤ 70°, sorted by position:
| h k l | two_theta | d_spacing | intensity |
| --- | --- | --- | --- |
| 1 0 0 | 8.5 | 10.368 | 52 |
| 1 0 2 | 18.1 | 4.905 | 22 |
| 0 2 2 | 31.5 | 2.836 | 27 |
| 4 0 0 | 34.6 | 2.592 | 36 |
| 2 2 2 | 36.1 | 2.488 | 100 |
| 2 0 4 | 36.6 | 2.453 | 45 |

=====

6.
Theoretical powder diffractogram of MgH2Se2O8 for Cu Ka, from a cell relaxed with GGA-PBE.

Structure:
```
data_MgH2Se2O8
_chemical_formula_sum 'Mg2 H4 Se4 O16'
_space_group_name_H-M_alt 'P 1 21/c 1'
_space_group_IT_number 14
_cell_length_a 5.212
_cell_length_b 8.691
_cell_length_c 8.573
_cell_angle_alpha 90.00
_cell_angle_beta 118.47
_cell_angle_gamma 90.00
loop_
_space_group_symop_operation_xyz
'x,y,z'
'-x,-y,-z'
'-x,y+1/2,-z+1/2'
'x,-y+1/2,z+1/2'
loop_
_atom_site_label
_atom_site_type_symbol
_atom_site_fract_x
_atom_site_fract_y
_atom_site_fract_z
Mg1 Mg 0.000 0.000 0.000
H1 H 0.442 0.013 0.653
Se1 Se 0.336 0.682 0.285
O1 O 0.058 0.632 0.315
O2 O 0.305 0.635 0.720
O3 O 0.313 0.581 0.102
O4 O 0.342 0.149 0.042
```

Most intense lines, 5° ≤ 2θ ≤ 70°, sorted by position:
| h k l | two_theta | d_spacing | intensity |
| --- | --- | --- | --- |
| 0 1 1 | 15.6 | 5.694 | 22 |
| 1 1 0 | 21.9 | 4.053 | 94 |
| 0 2 1 | 23.6 | 3.766 | 100 |
| 1 1 -2 | 24.6 | 3.625 | 90 |
| 0 2 2 | 31.4 | 2.847 | 24 |
| 1 3 -1 | 35.5 | 2.525 | 28 |

=====

7.
Theoretical powder diffractogram of Hg11I2BrClO4 for Cu Ka, from a cell relaxed with GGA-PBE.

Structure:
```
data_Hg11I2BrClO4
_chemical_formula_sum 'Hg11 I2 Br1 Cl1 O4'
_space_group_name_H-M_alt 'P 1'
_space_group_IT_number 1
_cell_length_a 6.662
_cell_length_b 7.218
_cell_length_c 10.794
_cell_angle_alpha 99.86
_cell_angle_beta 93.21
_cell_angle_gamma 92.46
loop_
_space_group_symop_operation_xyz
'x,y,z'
loop_
_atom_site_label
_atom_site_type_symbol
_atom_site_fract_x
_atom_site_fract_y
_atom_site_fract_z
Hg1 Hg 0.000 0.000 0.000
Hg2 Hg 0.017 0.481 0.185
Hg3 Hg 0.099 0.496 0.543
Hg4 Hg 0.204 0.757 0.853
Hg5 Hg 0.283 0.773 0.217
Hg6 Hg 0.307 0.259 0.397
Hg7 Hg 0.426 0.327 0.879
Hg8 Hg 0.478 0.168 0.079
Hg9 Hg 0.651 0.625 0.698
Hg10 Hg 0.823 0.087 0.319
Hg11 Hg 0.874 0.923 0.517
I1 I 0.389 0.968 0.606
I2 I 0.914 0.284 0.792
Br1 Br 0.643 0.739 0.041
Cl1 Cl 0.662 0.504 0.359
O1 O 0.372 0.529 0.748
O2 O 0.438 0.054 0.256
O3 O 0.865 0.201 0.143
O4 O 0.929 0.722 0.648
```

Most intense lines, 5° ≤ 2θ ≤ 70°, sorted by position:
| h k l | two_theta | d_spacing | intensity |
| --- | --- | --- | --- |
| 1 1 2 | 27.2 | 3.276 | 69 |
| 2 -1 0 | 29.0 | 3.074 | 100 |
| 1 2 0 | 29.1 | 3.064 | 60 |
| 2 1 -1 | 30.4 | 2.942 | 92 |
| 0 2 -3 | 32.5 | 2.755 | 77 |
| -1 2 2 | 34.5 | 2.601 | 74 |

=====

8.
Theoretical powder diffractogram of Na2SiBiBO7 for Cu Ka, from a cell relaxed with GGA-PBE.

Structure:
```
data_Na2SiBiBO7
_chemical_formula_sum 'Na4 Si2 Bi2 B2 O14'
_space_group_name_H-M_alt 'P 1 21/m 1'
_space_group_IT_number 11
_cell_length_a 5.438
_cell_length_b 6.909
_cell_length_c 9.415
_cell_angle_alpha 90.00
_cell_angle_beta 90.91
_cell_angle_gamma 90.00
loop_
_space_group_symop_operation_xyz
'x,y,z'
'-x,-y,-z'
'-x,y+1/2,-z'
'x,-y+1/2,z'
loop_
_atom_site_label
_atom_site_type_symbol
_atom_site_fract_x
_atom_site_fract_y
_atom_site_fract_z
Na1 Na 0.234 0.001 0.291
Si1 Si 0.283 0.750 0.927
Bi1 Bi 0.220 0.250 0.846
B1 B 0.272 0.250 0.569
O1 O 0.042 0.250 0.641
O2 O 0.159 0.750 0.087
O3 O 0.198 0.562 0.833
O4 O 0.303 0.250 0.431
O5 O 0.412 0.250 0.048
O6 O 0.472 0.250 0.673
```

Most intense lines, 5° ≤ 2θ ≤ 70°, sorted by position:
| h k l | two_theta | d_spacing | intensity |
| --- | --- | --- | --- |
| 0 0 1 | 9.4 | 9.414 | 97 |
| 0 1 1 | 15.9 | 5.570 | 100 |
| 1 0 1 | 19.0 | 4.676 | 33 |
| 1 1 0 | 20.8 | 4.273 | 64 |
| 1 0 -2 | 24.8 | 3.587 | 46 |
| 0 2 0 | 25.8 | 3.454 | 36 |